# 1
Structure and theoretical powder X-ray diffraction pattern of ScCdIn2Cl6 (a DFT-relaxed cell (PBE, OQMD); Cu Kα X-rays).

Peak list (10 most intense, 2θ = 15–90°, in order of rising 2θ)
2θ 23.83, 3.734 Å, rel. 100
2θ 29.29, 3.049 Å, rel. 32
2θ 33.95, 2.641 Å, rel. 71
2θ 41.90, 2.156 Å, rel. 44
2θ 48.77, 1.867 Å, rel. 46
2θ 54.98, 1.670 Å, rel. 21
2θ 57.91, 1.592 Å, rel. 11
2θ 60.75, 1.525 Å, rel. 15
2θ 66.21, 1.411 Å, rel. 23
2θ 81.51, 1.181 Å, rel. 19

Crystal structure
```
ScCdIn2Cl6
1.0
0.0000 5.2812 5.2812
5.2812 0.0000 5.2812
5.2812 5.2812 0.0000
Sc Cd In Cl
1 1 2 6
Direct
0.0000 0.0000 0.0000
0.5000 0.5000 0.5000
0.2500 0.2500 0.2500
0.7500 0.7500 0.7500
0.2358 0.2358 0.7642
0.2358 0.7642 0.2358
0.2358 0.7642 0.7642
0.7642 0.2358 0.2358
0.7642 0.2358 0.7642
0.7642 0.7642 0.2358
```

=====

# 2
Structure and theoretical powder X-ray diffraction pattern of PrNdPt2 (a DFT-relaxed cell (PBE, OQMD); Cu Kα X-rays).

Peak list (10 most intense, 2θ = 15–90°, in order of rising 2θ)
2θ 19.62, 4.524 Å, rel. 22
2θ 31.11, 2.875 Å, rel. 75
2θ 33.52, 2.673 Å, rel. 41
2θ 34.90, 2.571 Å, rel. 100
2θ 38.94, 2.313 Å, rel. 92
2θ 39.05, 2.307 Å, rel. 48
2θ 40.00, 2.254 Å, rel. 21
2θ 52.25, 1.751 Å, rel. 23
2θ 52.39, 1.747 Å, rel. 23
2θ 67.12, 1.395 Å, rel. 22

Crystal structure
```
PrNdPt2
1.0
4.6138 0.0000 0.0000
0.0000 7.3531 0.0000
0.0000 0.0000 5.7395
Pr Nd Pt
2 2 4
Direct
0.0000 0.0680 0.0000
0.5000 0.9320 0.5000
0.0000 0.5668 0.7794
0.5000 0.4332 0.2794
0.0000 0.2090 0.4860
0.0000 0.7028 0.2932
0.5000 0.2972 0.7932
0.5000 0.7910 0.9860
```

=====

# 3
Structure and theoretical powder X-ray diffraction pattern of Sr3Sn3Au8 (a DFT-relaxed cell (PBE, OQMD); Cu Kα X-rays).

Peak list (10 most intense, 2θ = 15–90°, in order of rising 2θ)
2θ 18.27, 4.855 Å, rel. 39
2θ 32.35, 2.768 Å, rel. 100
2θ 35.84, 2.505 Å, rel. 34
2θ 36.58, 2.457 Å, rel. 30
2θ 37.58, 2.394 Å, rel. 28
2θ 37.95, 2.371 Å, rel. 59
2θ 41.18, 2.192 Å, rel. 26
2θ 42.14, 2.145 Å, rel. 41
2θ 42.30, 2.137 Å, rel. 20
2θ 54.48, 1.684 Å, rel. 26

Crystal structure
```
Sr3Sn3Au8
1.0
9.7096 0.0000 0.0000
0.0000 14.3623 0.0000
0.0000 0.0000 4.7417
Sr Sn Au
6 6 16
Direct
0.0000 0.0000 0.0000
0.0046 0.3042 0.0000
0.4954 0.8042 0.5000
0.5000 0.5000 0.5000
0.5046 0.1958 0.5000
0.9954 0.6958 0.0000
0.0000 0.5000 0.5000
0.1554 0.1731 0.5000
0.3446 0.6731 0.0000
0.5000 0.0000 0.0000
0.6554 0.3269 0.0000
0.8446 0.8269 0.5000
0.1229 0.8411 0.5000
0.1969 0.4980 0.0000
0.2176 0.3652 0.5000
0.2214 0.6276 0.5000
0.2786 0.1276 0.0000
0.2824 0.8652 0.0000
0.3031 0.9980 0.5000
0.3771 0.3411 0.0000
0.6229 0.6589 0.0000
0.6969 0.0020 0.5000
0.7176 0.1348 0.0000
0.7214 0.8724 0.0000
0.7786 0.3724 0.5000
0.7824 0.6348 0.5000
0.8031 0.5020 0.0000
0.8771 0.1589 0.5000
```

=====

# 4
Structure and theoretical powder X-ray diffraction pattern of Rb4Au6S5 (a DFT-relaxed cell (PBE, OQMD); Cu Kα X-rays).

Peak list (10 most intense, 2θ = 15–90°, in order of rising 2θ)
2θ 24.74, 3.598 Å, rel. 43
2θ 26.87, 3.319 Å, rel. 87
2θ 28.10, 3.175 Å, rel. 90
2θ 28.28, 3.156 Å, rel. 100
2θ 32.16, 2.783 Å, rel. 44
2θ 35.41, 2.535 Å, rel. 40
2θ 36.91, 2.435 Å, rel. 35
2θ 37.85, 2.377 Å, rel. 65
2θ 40.65, 2.220 Å, rel. 36
2θ 54.98, 1.670 Å, rel. 37

Crystal structure
```
Rb4Au6S5
1.0
10.1378 0.0000 0.0000
-5.0689 8.7796 0.0000
0.0000 0.0000 10.2182
Rb Au S
8 12 10
Direct
0.0000 0.0000 0.0000
0.0000 0.0000 0.5000
0.0750 0.4200 0.2500
0.3450 0.9250 0.2500
0.4200 0.0750 0.7500
0.5800 0.6550 0.2500
0.6550 0.5800 0.7500
0.9250 0.3450 0.7500
0.1712 0.7170 0.5922
0.1712 0.7170 0.9078
0.2830 0.4542 0.5922
0.2830 0.4542 0.9078
0.4542 0.2830 0.0922
0.4542 0.2830 0.4078
0.5458 0.8288 0.5922
0.5458 0.8288 0.9078
0.7170 0.1712 0.0922
0.7170 0.1712 0.4078
0.8288 0.5458 0.0922
0.8288 0.5458 0.4078
0.0384 0.7714 0.7500
0.2286 0.2669 0.7500
0.2669 0.2286 0.2500
0.3333 0.6667 0.0376
0.3333 0.6667 0.4624
0.6667 0.3333 0.5376
0.6667 0.3333 0.9624
0.7331 0.9616 0.7500
0.7714 0.0384 0.2500
0.9616 0.7331 0.2500
```